Calculated PXRD pattern of Hg3IF5 for CuKα, from a structure optimized by DFT (GGA-PBE).
Lines closer than 0.1° are merged.

Crystal structure
Lattice parameters (Å, degrees): 6.103 4.399 13.065 90.00 99.32 90.00
Space group P2/m (No. 10)
Asymmetric unit:
Hg1 0.000 0.000 0.000 x1
Hg2 0.047 0.000 0.650 x2
Hg3 0.436 0.500 0.859 x2
Hg4 0.500 0.500 0.500 x1
I1 0.228 0.000 0.204 x2
F1 0.227 0.500 0.385 x2
F2 0.251 0.000 0.531 x2
F3 0.255 0.500 0.696 x2
F4 0.256 0.500 0.010 x2
F5 0.302 0.000 0.872 x2

Largest 8 diffraction maxima, in order of rising 2θ, 10° ≤ 2θ ≤ 80°:
23.4 deg, intensity 28, (1 0 -3); 25.1 deg, intensity 100, (1 1 0); 27.4 deg, intensity 52, (1 0 3); 29.0 deg, intensity 31, (0 1 3); 39.4 deg, intensity 25, (2 1 -3); 41.0 deg, intensity 27, (0 2 0); 44.5 deg, intensity 40, (2 1 3); 47.3 deg, intensity 21, (1 1 -6)